Diffraction record for CaP3NO9. The PXRD pattern is calculated, not measured: it uses DFT lattice parameters and positions (PBE) and Cu Ka.

The 10 most intense peaks (2θ from 15° to 90°), by angle:
d = 5.482 Å, 2θ 16.17, rel. 1000
d = 5.376 Å, 2θ 16.49, rel. 484
d = 5.143 Å, 2θ 17.24, rel. 394
d = 4.028 Å, 2θ 22.07, rel. 363
d = 3.986 Å, 2θ 22.31, rel. 90
d = 3.090 Å, 2θ 28.89, rel. 527
d = 3.044 Å, 2θ 29.34, rel. 112
d = 3.014 Å, 2θ 29.64, rel. 274
d = 2.989 Å, 2θ 29.89, rel. 129
d = 2.741 Å, 2θ 32.66, rel. 112

Structural model:
Cell: 7.5527 10.2854 14.6811 Å, 90.00 120.78 90.00°
Fractional positions:
Ca 0.0245 0.0133 0.2814
Ca 0.0245 0.4867 0.7814
Ca 0.9755 0.5133 0.2186
Ca 0.9755 0.9867 0.7186
P 0.1722 0.2504 0.1324
P 0.1722 0.2496 0.6324
P 0.2389 0.2131 0.9552
P 0.2389 0.2869 0.4552
P 0.4038 0.7501 0.3365
P 0.4038 0.7499 0.8365
P 0.5962 0.2501 0.1635
P 0.5962 0.2499 0.6635
P 0.7611 0.7131 0.5448
P 0.7611 0.7869 0.0448
P 0.8278 0.7504 0.3676
P 0.8278 0.7496 0.8676
N 0.3580 0.5911 0.0843
N 0.3580 0.9089 0.5843
N 0.6420 0.0911 0.4157
N 0.6420 0.4089 0.9157
O 0.0652 0.1225 0.6197
O 0.0652 0.3775 0.1197
O 0.1166 0.1918 0.0191
O 0.1166 0.3082 0.5191
O 0.1383 0.1463 0.1928
O 0.1383 0.3537 0.6928
O 0.1722 0.1106 0.8726
O 0.1722 0.3894 0.3726
O 0.2256 0.1462 0.4265
O 0.2256 0.3538 0.9265
O 0.2548 0.6539 0.2575
O 0.2548 0.8461 0.7575
O 0.3117 0.6229 0.8420
O 0.3117 0.8771 0.3420
O 0.4171 0.2191 0.6893
O 0.4171 0.2809 0.1893
O 0.4734 0.1801 0.0493
O 0.4734 0.3199 0.5493
O 0.5266 0.6801 0.4507
O 0.5266 0.8199 0.9507
O 0.5829 0.7191 0.8107
O 0.5829 0.7809 0.3107
O 0.6883 0.1229 0.6580
O 0.6883 0.3771 0.1580
O 0.7452 0.1539 0.2425
O 0.7452 0.3461 0.7425
O 0.7744 0.6462 0.0735
O 0.7744 0.8538 0.5735
O 0.8278 0.6106 0.6274
O 0.8278 0.8894 0.1274
O 0.8617 0.6463 0.3072
O 0.8617 0.8537 0.8072
O 0.8834 0.6918 0.4809
O 0.8834 0.8082 0.9809
O 0.9348 0.6225 0.8803
O 0.9348 0.8775 0.3803

Diffraction record for CoCu2SnSe4. The PXRD pattern is calculated, not measured: it uses DFT lattice parameters and positions (PBE) and Cu Ka.

The 10 most intense peaks (2θ from 15° to 90°), by angle:
d = 3.281 Å, 2θ 27.18, rel. 1000
d = 2.017 Å, 2θ 44.95, rel. 238
d = 2.006 Å, 2θ 45.20, rel. 477
d = 1.718 Å, 2θ 53.32, rel. 280
d = 1.705 Å, 2θ 53.76, rel. 141
d = 1.426 Å, 2θ 65.45, rel. 70
d = 1.302 Å, 2θ 72.61, rel. 104
d = 1.162 Å, 2θ 83.11, rel. 137
d = 1.156 Å, 2θ 83.64, rel. 72
d = 1.097 Å, 2θ 89.27, rel. 57

Structural model:
Cell: 6.9371 6.9371 6.9371 Å, 131.45 131.45 71.10°
Fractional positions:
Co 0.0000 0.0000 0.0000
Cu 0.2500 0.7500 0.5000
Cu 0.7500 0.2500 0.5000
Sn 0.5000 0.5000 0.0000
Se 0.0963 0.6390 0.0000
Se 0.3610 0.3610 0.4573
Se 0.6390 0.0963 0.0000
Se 0.9037 0.9037 0.5427

Diffraction record for BaAl5O9. The PXRD pattern is calculated, not measured: it uses DFT lattice parameters and positions (PBE) and Cu Ka.

The 10 most intense peaks (2θ from 15° to 90°), by angle:
d = 4.641 Å, 2θ 19.12, rel. 1000
d = 3.327 Å, 2θ 26.80, rel. 389
d = 2.854 Å, 2θ 31.35, rel. 332
d = 2.787 Å, 2θ 32.12, rel. 360
d = 2.628 Å, 2θ 34.11, rel. 477
d = 2.166 Å, 2θ 41.70, rel. 475
d = 1.850 Å, 2θ 49.24, rel. 154
d = 1.766 Å, 2θ 51.75, rel. 159
d = 1.634 Å, 2θ 56.29, rel. 154
d = 1.427 Å, 2θ 65.41, rel. 182

Structural model:
Cell: 5.7072 5.7072 13.4957 Å, 90.00 90.00 120.00°
Fractional positions:
Ba 0.3333 0.6667 0.2500
Ba 0.6667 0.3333 0.7500
Al 0.0000 0.0000 0.1205
Al 0.0000 0.0000 0.3795
Al 0.0000 0.0000 0.6205
Al 0.0000 0.0000 0.8795
Al 0.0000 0.5000 0.0000
Al 0.0000 0.5000 0.5000
Al 0.5000 0.0000 0.0000
Al 0.5000 0.0000 0.5000
Al 0.5000 0.5000 0.0000
Al 0.5000 0.5000 0.5000
O 0.0000 0.0000 0.2500
O 0.0000 0.0000 0.7500
O 0.1715 0.3431 0.0802
O 0.1715 0.3431 0.4198
O 0.1715 0.8285 0.0802
O 0.1715 0.8285 0.4198
O 0.3333 0.6667 0.5663
O 0.3333 0.6667 0.9337
O 0.3431 0.1715 0.5802
O 0.3431 0.1715 0.9198
O 0.6569 0.8285 0.0802
O 0.6569 0.8285 0.4198
O 0.6667 0.3333 0.0663
O 0.6667 0.3333 0.4337
O 0.8285 0.1715 0.5802
O 0.8285 0.1715 0.9198
O 0.8285 0.6569 0.5802
O 0.8285 0.6569 0.9198

Diffraction record for Gd2Al9Ir3. The PXRD pattern is calculated, not measured: it uses DFT lattice parameters and positions (PBE) and Cu Ka.

The 10 most intense peaks (2θ from 15° to 90°), by angle:
d = 3.786 Å, 2θ 23.50, rel. 319
d = 2.976 Å, 2θ 30.03, rel. 508
d = 2.963 Å, 2θ 30.16, rel. 1000
d = 2.379 Å, 2θ 37.82, rel. 313
d = 2.197 Å, 2θ 41.09, rel. 587
d = 2.181 Å, 2θ 41.40, rel. 282
d = 2.016 Å, 2θ 44.97, rel. 271
d = 1.759 Å, 2θ 51.98, rel. 272
d = 1.614 Å, 2θ 57.07, rel. 312
d = 1.463 Å, 2θ 63.58, rel. 256

Structural model:
Cell: 7.5732 7.5732 9.5163 Å, 90.00 90.00 60.48°
Fractional positions:
Gd 0.0051 0.6709 0.7500
Gd 0.3291 0.9949 0.7500
Gd 0.6709 0.0051 0.2500
Gd 0.9949 0.3291 0.2500
Al 0.0008 0.6649 0.0744
Al 0.0008 0.6649 0.4256
Al 0.1287 0.8713 0.2500
Al 0.3332 0.6668 0.5483
Al 0.3332 0.6668 0.9517
Al 0.3351 0.9992 0.0744
Al 0.3351 0.9992 0.4256
Al 0.3394 0.4524 0.2500
Al 0.4524 0.3394 0.7500
Al 0.5476 0.6606 0.2500
Al 0.6606 0.5476 0.7500
Al 0.6649 0.0008 0.5744
Al 0.6649 0.0008 0.9256
Al 0.6668 0.3332 0.0483
Al 0.6668 0.3332 0.4517
Al 0.8713 0.1287 0.7500
Al 0.9992 0.3351 0.5744
Al 0.9992 0.3351 0.9256
Ir 0.0000 0.0000 0.0000
Ir 0.0000 0.0000 0.5000
Ir 0.3286 0.3286 0.0000
Ir 0.3286 0.3286 0.5000
Ir 0.6714 0.6714 0.0000
Ir 0.6714 0.6714 0.5000

Diffraction record for La2Zn17. The PXRD pattern is calculated, not measured: it uses DFT lattice parameters and positions (PBE) and Cu Ka.

The 10 most intense peaks (2θ from 15° to 90°), by angle:
d = 3.193 Å, 2θ 27.94, rel. 252
d = 2.636 Å, 2θ 34.01, rel. 367
d = 2.556 Å, 2θ 35.11, rel. 260
d = 2.283 Å, 2θ 39.48, rel. 644
d = 2.270 Å, 2θ 39.70, rel. 1000
d = 2.233 Å, 2θ 40.39, rel. 505
d = 2.219 Å, 2θ 40.66, rel. 203
d = 2.033 Å, 2θ 44.58, rel. 377
d = 1.596 Å, 2θ 57.76, rel. 243
d = 1.318 Å, 2θ 71.62, rel. 241

Structural model:
Cell: 6.9101 6.9101 6.9101 Å, 82.70 82.70 82.70°
Fractional positions:
La 0.1635 0.1635 0.1635
La 0.8365 0.8365 0.8365
Zn 0.0000 0.5000 0.5000
Zn 0.1514 0.1515 0.6603
Zn 0.1514 0.6603 0.1514
Zn 0.2095 0.5000 0.7905
Zn 0.2095 0.7905 0.5000
Zn 0.3397 0.8485 0.8486
Zn 0.4016 0.4016 0.4016
Zn 0.5000 0.0000 0.5000
Zn 0.5000 0.2095 0.7905
Zn 0.5000 0.5000 0.0000
Zn 0.5000 0.7905 0.2095
Zn 0.5984 0.5984 0.5984
Zn 0.6603 0.1514 0.1514
Zn 0.7905 0.2095 0.5000
Zn 0.7905 0.5000 0.2095
Zn 0.8486 0.3397 0.8486
Zn 0.8486 0.8486 0.3397

Diffraction record for Tl2Sn2S3. The PXRD pattern is calculated, not measured: it uses DFT lattice parameters and positions (PBE) and Cu Ka.

The 10 most intense peaks (2θ from 15° to 90°), by angle:
d = 3.463 Å, 2θ 25.73, rel. 808
d = 3.368 Å, 2θ 26.46, rel. 780
d = 3.000 Å, 2θ 29.79, rel. 1000
d = 2.877 Å, 2θ 31.09, rel. 444
d = 2.167 Å, 2θ 41.67, rel. 163
d = 2.078 Å, 2θ 43.54, rel. 529
d = 2.074 Å, 2θ 43.65, rel. 264
d = 1.824 Å, 2θ 49.99, rel. 160
d = 1.781 Å, 2θ 51.29, rel. 287
d = 1.684 Å, 2θ 54.48, rel. 154

Structural model:
Cell: 8.3271 8.3271 7.1910 Å, 103.83 103.83 59.86°
Fractional positions:
Tl 0.0083 0.2366 0.0235
Tl 0.2366 0.0083 0.5235
Tl 0.7634 0.9917 0.4765
Tl 0.9917 0.7634 0.9765
Sn 0.2587 0.5023 0.5397
Sn 0.4977 0.7413 0.9603
Sn 0.5023 0.2587 0.0397
Sn 0.7413 0.4977 0.4603
S 0.1908 0.3557 0.8112
S 0.3557 0.1908 0.3112
S 0.4107 0.5893 0.2500
S 0.5893 0.4107 0.7500
S 0.6443 0.8092 0.6888
S 0.8092 0.6443 0.1888

Diffraction record for MgSn2. The PXRD pattern is calculated, not measured: it uses DFT lattice parameters and positions (PBE) and Cu Ka.

The 10 most intense peaks (2θ from 15° to 90°), by angle:
d = 2.900 Å, 2θ 30.84, rel. 275
d = 2.877 Å, 2θ 31.09, rel. 754
d = 2.570 Å, 2θ 34.92, rel. 1000
d = 2.381 Å, 2θ 37.79, rel. 453
d = 2.033 Å, 2θ 44.56, rel. 207
d = 1.596 Å, 2θ 57.77, rel. 241
d = 1.554 Å, 2θ 59.47, rel. 142
d = 1.475 Å, 2θ 63.01, rel. 133
d = 1.393 Å, 2θ 67.21, rel. 174
d = 1.368 Å, 2θ 68.61, rel. 188

Structural model:
Cell: 8.0291 8.0291 5.7599 Å, 90.00 90.00 155.29°
Fractional positions:
Mg 0.2209 0.7791 0.7500
Mg 0.7791 0.2209 0.2500
Sn 0.1189 0.8811 0.2500
Sn 0.4414 0.5586 0.2500
Sn 0.5586 0.4414 0.7500
Sn 0.8811 0.1189 0.7500

Diffraction record for MgU2Si2O16. The PXRD pattern is calculated, not measured: it uses DFT lattice parameters and positions (PBE) and Cu Ka.

The 10 most intense peaks (2θ from 15° to 90°), by angle:
d = 4.890 Å, 2θ 18.14, rel. 495
d = 4.370 Å, 2θ 20.32, rel. 893
d = 4.094 Å, 2θ 21.71, rel. 855
d = 4.044 Å, 2θ 21.98, rel. 331
d = 3.551 Å, 2θ 25.08, rel. 615
d = 3.258 Å, 2θ 27.38, rel. 901
d = 3.055 Å, 2θ 29.24, rel. 1000
d = 2.937 Å, 2θ 30.44, rel. 445
d = 2.793 Å, 2θ 32.05, rel. 466
d = 2.176 Å, 2θ 41.51, rel. 347

Structural model:
Cell: 9.2403 9.2403 6.7920 Å, 105.03 105.03 45.20°
Fractional positions:
Mg 0.0000 0.0000 0.0000
U 0.2582 0.2582 0.6477
U 0.7418 0.7418 0.3523
Si 0.2163 0.2163 0.1488
Si 0.7837 0.7837 0.8512
O 0.0622 0.4178 0.3101
O 0.1183 0.1183 0.0364
O 0.1476 0.1476 0.5813
O 0.1811 0.7739 0.7737
O 0.2261 0.8189 0.2263
O 0.2644 0.2644 0.9727
O 0.3673 0.3673 0.6798
O 0.4178 0.0622 0.3101
O 0.5822 0.9378 0.6899
O 0.6327 0.6327 0.3202
O 0.7356 0.7356 0.0273
O 0.7739 0.1811 0.7737
O 0.8189 0.2261 0.2263
O 0.8524 0.8524 0.4187
O 0.8817 0.8817 0.9636
O 0.9378 0.5822 0.6899